Entry 1:
Pm12Ni6Sn: simulated powder diffraction line list (Cu Kα (weighted mean of Kα1 and Kα2)), based on a structure optimized by DFT (GGA-PBE).
Neutral-atom scattering factors, no anomalous dispersion.

Structural model:
```
Pm12Ni6Sn
1.0
-4.996 4.996 4.996
4.996 -4.996 4.996
4.996 4.996 -4.996
Pm Ni Sn
12 6 1
direct
0.120 0.814 0.306
0.186 0.306 0.492
0.186 0.694 0.880
0.306 0.120 0.814
0.306 0.492 0.186
0.492 0.186 0.306
0.508 0.814 0.694
0.694 0.508 0.814
0.694 0.880 0.186
0.814 0.306 0.120
0.814 0.694 0.508
0.880 0.186 0.694
0.122 0.622 0.500
0.378 0.500 0.878
0.500 0.122 0.622
0.500 0.878 0.378
0.622 0.500 0.122
0.878 0.378 0.500
0.000 0.000 0.000
```

The 6 most intense peaks (2θ from 10° to 90°), in order of rising 2θ:
| 2θ/deg | I (rel.) |
| --- | --- |
| 28.25 | 42 |
| 31.01 | 37 |
| 33.56 | 100 |
| 46.34 | 22 |
| 53.48 | 34 |
| 56.80 | 34 |

---

Entry 2:
VCoH: simulated powder diffraction line list (Cu Kα (weighted mean of Kα1 and Kα2)), based on a structure optimized by DFT (GGA-PBE).
Neutral-atom scattering factors, no anomalous dispersion.

Structural model:
```
VCoH
1.0
2.632 0.000 0.000
-1.316 2.280 0.000
0.000 0.000 4.246
V Co H
1 1 1
direct
0.000 0.000 0.000
0.333 0.667 0.534
0.667 0.333 0.278
```

The 6 most intense peaks (2θ from 10° to 90°), in order of rising 2θ:
| 2θ/deg | I (rel.) |
| --- | --- |
| 39.53 | 25 |
| 42.58 | 25 |
| 45.14 | 100 |
| 59.50 | 16 |
| 79.75 | 15 |
| 87.13 | 16 |

---

Entry 3:
Cs3NiAg2Cl8: simulated powder diffraction line list (Cu Kα (weighted mean of Kα1 and Kα2)), based on a structure optimized by DFT (GGA-PBE).
Neutral-atom scattering factors, no anomalous dispersion.

Structural model:
```
Cs3NiAg2Cl8
1.0
7.227 0.000 0.000
-3.614 6.259 0.000
0.000 0.000 9.857
Cs Ni Ag Cl
3 1 2 8
direct
0.000 0.000 0.000
0.333 0.667 0.643
0.667 0.333 0.357
0.000 0.000 0.500
0.333 0.667 0.227
0.667 0.333 0.773
0.152 0.304 0.357
0.152 0.848 0.357
0.304 0.152 0.643
0.333 0.667 0.983
0.667 0.333 0.017
0.696 0.848 0.357
0.848 0.152 0.643
0.848 0.696 0.643
```

The 6 most intense peaks (2θ from 10° to 90°), in order of rising 2θ:
| 2θ/deg | I (rel.) |
| --- | --- |
| 22.97 | 62 |
| 24.64 | 100 |
| 33.93 | 54 |
| 42.38 | 24 |
| 43.37 | 21 |
| 50.51 | 25 |

---

Entry 4:
Sc2BIr3: simulated powder diffraction line list (Cu Kα (weighted mean of Kα1 and Kα2)), based on a structure optimized by DFT (GGA-PBE).
Neutral-atom scattering factors, no anomalous dispersion.

Structural model:
```
Sc2BIr3
1.0
2.692 1.554 3.567
-2.692 1.554 3.567
0.000 -3.108 3.567
Sc B Ir
2 1 3
direct
0.127 0.127 0.127
0.873 0.873 0.873
0.500 0.500 0.500
0.000 0.500 0.500
0.500 0.000 0.500
0.500 0.500 0.000
```

The 6 most intense peaks (2θ from 10° to 90°), in order of rising 2θ:
| 2θ/deg | I (rel.) |
| --- | --- |
| 24.96 | 68 |
| 25.34 | 27 |
| 39.57 | 100 |
| 42.05 | 30 |
| 42.29 | 71 |
| 52.03 | 29 |